# NaLi2BeF6
Theoretical PXRD pattern, copper Kα. Input: a DFT-relaxed cell (PBE, Alexandria).
Intensities are scaled so that the largest is 100.

Structural model:
abc: 6.941 6.941 5.980
angles: 108.55 108.55 91.97
Sites, in units of the cell vectors:
Na 0.130 0.870 0.750
Na 0.870 0.130 0.250
Li 0.250 0.428 0.885
Li 0.428 0.250 0.385
Li 0.572 0.750 0.615
Li 0.750 0.572 0.115
Be 0.162 0.838 0.250
Be 0.838 0.162 0.750
F 0.053 0.191 0.717
F 0.162 0.674 0.004
F 0.191 0.053 0.217
F 0.326 0.838 0.496
F 0.332 0.448 0.615
F 0.448 0.332 0.115
F 0.552 0.668 0.885
F 0.668 0.552 0.385
F 0.674 0.162 0.504
F 0.809 0.947 0.783
F 0.838 0.326 0.996
F 0.947 0.809 0.283

Principal peaks in the range 2θ from 10° to 90°, low angle first:
2θ (°)  I_rel
20.71  100.0
24.46  54.1
30.87  46.5
39.03  86.2
39.90  45.4
40.89  55.7

# KPbCl6
Theoretical PXRD pattern, copper Kα. Input: a DFT-relaxed cell (PBE, Alexandria).
Intensities are scaled so that the largest is 100.

Structural model:
abc: 6.342 6.342 6.342
angles: 98.34 98.34 98.34
Sites, in units of the cell vectors:
K 0.000 0.000 0.000
Pb 0.500 0.500 0.500
Cl 0.208 0.208 0.577
Cl 0.208 0.577 0.208
Cl 0.423 0.792 0.792
Cl 0.577 0.208 0.208
Cl 0.792 0.423 0.792
Cl 0.792 0.792 0.423

Principal peaks in the range 2θ from 10° to 90°, low angle first:
2θ (°)  I_rel
14.32  83.4
18.49  63.8
21.98  40.6
23.47  50.1
34.52  100.0
43.91  30.9

# RbRu4O8
Theoretical PXRD pattern, copper Kα. Input: a DFT-relaxed cell (PBE, Alexandria).
Intensities are scaled so that the largest is 100.

Structural model:
abc: 7.293 7.293 7.293
angles: 92.75 92.75 154.71
Sites, in units of the cell vectors:
Rb 0.000 0.000 0.000
Ru 0.148 0.665 0.813
Ru 0.335 0.148 0.483
Ru 0.665 0.852 0.517
Ru 0.852 0.335 0.187
O 0.046 0.344 0.390
O 0.296 0.346 0.643
O 0.344 0.954 0.299
O 0.346 0.704 0.050
O 0.654 0.296 0.950
O 0.656 0.046 0.701
O 0.704 0.654 0.357
O 0.954 0.656 0.610

Principal peaks in the range 2θ from 10° to 90°, low angle first:
2θ (°)  I_rel
28.04  100.0
34.44  94.3
46.85  35.9
54.73  19.4
57.11  44.7
66.28  25.7